[1]
Diffraction record for BaSm2Te4. The XRD peak list is computed, not measured: it uses a DFT-relaxed cell (PBE, the Materials Project) and Cu Kα (λ = 1.5418 Å).
Lines closer than 0.1° are merged.

Principal peaks in the range 2θ = 5–70°, in order of rising 2θ:
| 2θ/deg | d (Å) | I/Imax |
| --- | --- | --- |
| 25.3 | 3.516 | 40 |
| 26.1 | 3.409 | 100 |
| 27.8 | 3.210 | 45 |
| 27.9 | 3.193 | 56 |
| 29.8 | 2.993 | 32 |
| 31.9 | 2.805 | 70 |
| 32.3 | 2.768 | 36 |
| 32.8 | 2.730 | 29 |
| 35.0 | 2.566 | 39 |
| 39.2 | 2.301 | 36 |
| 39.5 | 2.282 | 77 |
| 40.3 | 2.237 | 44 |

Cell and atoms:
```
BaSm2Te4
1.0
13.930 0.000 0.000
0.000 4.561 0.000
0.000 0.000 16.558
Ba Sm Te
4 8 16
direct
0.240 0.250 0.168
0.260 0.750 0.668
0.740 0.250 0.332
0.760 0.750 0.832
0.063 0.250 0.391
0.080 0.250 0.903
0.420 0.750 0.403
0.437 0.750 0.891
0.563 0.250 0.109
0.580 0.250 0.597
0.920 0.750 0.097
0.937 0.750 0.609
0.026 0.750 0.784
0.090 0.250 0.578
0.130 0.750 0.029
0.206 0.750 0.333
0.294 0.250 0.833
0.370 0.250 0.529
0.410 0.750 0.078
0.474 0.250 0.284
0.526 0.750 0.716
0.590 0.250 0.922
0.630 0.750 0.471
0.706 0.750 0.167
0.794 0.250 0.667
0.870 0.250 0.971
0.910 0.750 0.422
0.974 0.250 0.216
```


[2]
Diffraction record for HoGa2Co3. The XRD peak list is computed, not measured: it uses a DFT-relaxed cell (PBE, the Materials Project) and Cu Kα (λ = 1.5418 Å).
Lines closer than 0.1° are merged.

Principal peaks in the range 2θ = 5–70°, in order of rising 2θ:
| 2θ/deg | d (Å) | I/Imax |
| --- | --- | --- |
| 25.9 | 3.441 | 37 |
| 32.8 | 2.727 | 49 |
| 34.8 | 2.581 | 71 |
| 38.7 | 2.328 | 77 |
| 40.4 | 2.235 | 58 |
| 42.2 | 2.142 | 100 |
| 47.0 | 1.932 | 38 |
| 47.3 | 1.921 | 43 |
| 60.0 | 1.541 | 30 |
| 62.3 | 1.490 | 16 |
| 63.9 | 1.457 | 28 |
| 64.9 | 1.436 | 19 |

Cell and atoms:
```
HoGa2Co3
1.0
8.940 0.000 0.000
-4.470 7.743 0.000
0.000 0.000 3.841
Ho Ga Co
3 6 9
direct
0.000 0.000 0.000
0.333 0.667 0.500
0.667 0.333 0.500
0.000 0.314 0.500
0.000 0.686 0.500
0.314 0.000 0.500
0.314 0.314 0.500
0.686 0.000 0.500
0.686 0.686 0.500
0.000 0.500 0.000
0.183 0.366 0.000
0.183 0.817 0.000
0.366 0.183 0.000
0.500 0.000 0.000
0.500 0.500 0.000
0.634 0.817 0.000
0.817 0.183 0.000
0.817 0.634 0.000
```


[3]
Diffraction record for Sr2MgCuO2F2. The XRD peak list is computed, not measured: it uses a DFT-relaxed cell (PBE, the Materials Project) and Cu Kα (λ = 1.5418 Å).
Lines closer than 0.1° are merged.

Principal peaks in the range 2θ = 5–70°, in order of rising 2θ:
| 2θ/deg | d (Å) | I/Imax |
| --- | --- | --- |
| 18.7 | 4.746 | 15 |
| 26.1 | 3.412 | 100 |
| 28.2 | 3.164 | 29 |
| 31.2 | 2.864 | 26 |
| 32.3 | 2.770 | 7 |
| 42.6 | 2.124 | 41 |
| 44.7 | 2.025 | 28 |
| 48.7 | 1.871 | 16 |
| 52.5 | 1.742 | 28 |
| 53.7 | 1.706 | 19 |
| 65.1 | 1.432 | 8 |
| 68.2 | 1.374 | 12 |

Cell and atoms:
```
Sr2MgCuO2F2
1.0
-2.025 2.025 9.493
2.025 -2.025 9.493
2.025 2.025 -9.493
Sr Mg Cu O F
2 1 1 2 2
direct
0.173 0.173 0.000
0.827 0.827 0.000
0.000 0.000 0.000
0.500 0.500 0.000
0.000 0.500 0.500
0.500 0.000 0.500
0.250 0.750 0.500
0.750 0.250 0.500
```


[4]
Diffraction record for RbPbBr3. The XRD peak list is computed, not measured: it uses a DFT-relaxed cell (PBE, the Materials Project) and Cu Kα (λ = 1.5418 Å).
Lines closer than 0.1° are merged.

Principal peaks in the range 2θ = 5–70°, in order of rising 2θ:
| 2θ/deg | d (Å) | I/Imax |
| --- | --- | --- |
| 14.8 | 5.984 | 71 |
| 21.0 | 4.231 | 70 |
| 25.8 | 3.455 | 12 |
| 29.9 | 2.992 | 100 |
| 33.5 | 2.676 | 42 |
| 36.8 | 2.443 | 35 |
| 42.7 | 2.115 | 74 |
| 45.5 | 1.995 | 23 |
| 48.1 | 1.892 | 17 |
| 53.0 | 1.727 | 26 |
| 57.6 | 1.599 | 18 |
| 62.0 | 1.496 | 12 |

Cell and atoms:
```
RbPbBr3
1.0
4.230 -4.235 0.000
4.230 4.235 0.000
-0.008 0.000 5.980
Rb Pb Br
1 1 3
direct
0.000 0.000 0.000
0.502 0.502 0.516
0.000 0.501 0.515
0.488 0.488 0.016
0.501 0.000 0.515
```


[5]
Diffraction record for Pr4Rh. The XRD peak list is computed, not measured: it uses a DFT-relaxed cell (PBE, the Materials Project) and Cu Kα (λ = 1.5418 Å).
Lines closer than 0.1° are merged.

Principal peaks in the range 2θ = 5–70°, in order of rising 2θ:
| 2θ/deg | d (Å) | I/Imax |
| --- | --- | --- |
| 22.4 | 3.977 | 13 |
| 27.5 | 3.247 | 100 |
| 31.8 | 2.812 | 32 |
| 34.8 | 2.581 | 19 |
| 41.7 | 2.165 | 19 |
| 45.6 | 1.989 | 48 |
| 54.1 | 1.696 | 36 |
| 56.7 | 1.624 | 6 |
| 58.6 | 1.575 | 7 |
| 63.5 | 1.464 | 6 |
| 66.5 | 1.406 | 6 |
| 68.2 | 1.374 | 9 |

Cell and atoms:
```
Pr4Rh
1.0
0.000 5.625 5.625
5.625 0.000 5.625
5.625 5.625 0.000
Pr Rh
8 2
direct
0.211 0.763 0.763
0.237 0.237 0.237
0.237 0.237 0.789
0.237 0.789 0.237
0.763 0.211 0.763
0.763 0.763 0.211
0.763 0.763 0.763
0.789 0.237 0.237
0.375 0.375 0.375
0.625 0.625 0.625
```


[6]
Diffraction record for ZnGaCuSe3. The XRD peak list is computed, not measured: it uses a DFT-relaxed cell (PBE, the Materials Project) and Cu Kα (λ = 1.5418 Å).
Lines closer than 0.1° are merged.

Principal peaks in the range 2θ = 5–70°, in order of rising 2θ:
| 2θ/deg | d (Å) | I/Imax |
| --- | --- | --- |
| 27.2 | 3.280 | 100 |
| 45.1 | 2.009 | 73 |
| 53.4 | 1.715 | 15 |
| 53.5 | 1.712 | 29 |
| 65.6 | 1.423 | 4 |
| 65.8 | 1.419 | 8 |

Cell and atoms:
```
ZnGaCuSe3
1.0
6.655 -2.007 0.000
6.655 2.007 0.000
-2.433 0.000 5.147
Zn Ga Cu Se
1 1 1 3
direct
0.000 0.000 0.000
0.672 0.672 0.660
0.337 0.337 0.342
0.173 0.173 0.925
0.501 0.501 0.257
0.836 0.836 0.579
```


[7]
Diffraction record for MgSi2. The XRD peak list is computed, not measured: it uses a DFT-relaxed cell (PBE, the Materials Project) and Cu Kα (λ = 1.5418 Å).
Lines closer than 0.1° are merged.

Principal peaks in the range 2θ = 5–70°, in order of rising 2θ:
| 2θ/deg | d (Å) | I/Imax |
| --- | --- | --- |
| 30.5 | 2.929 | 28 |
| 33.7 | 2.659 | 71 |
| 34.7 | 2.584 | 28 |
| 35.2 | 2.550 | 31 |
| 36.5 | 2.460 | 55 |
| 38.7 | 2.325 | 29 |
| 39.0 | 2.312 | 100 |
| 39.7 | 2.268 | 32 |
| 40.1 | 2.251 | 73 |
| 41.5 | 2.178 | 31 |
| 47.5 | 1.913 | 40 |
| 48.1 | 1.892 | 65 |

Cell and atoms:
```
MgSi2
1.0
3.794 0.000 0.000
1.794 4.297 0.000
1.041 0.575 13.100
Mg Si
4 8
direct
0.000 0.000 0.000
0.137 0.861 0.756
0.358 0.170 0.174
0.707 0.358 0.348
0.000 0.752 0.449
0.044 0.741 0.252
0.321 0.098 0.494
0.412 0.255 0.852
0.473 0.262 0.657
0.670 0.598 0.089
0.727 0.604 0.897
0.809 0.620 0.621
```


[8]
Diffraction record for Na5Pr4Ge4O16F. The XRD peak list is computed, not measured: it uses a DFT-relaxed cell (PBE, the Materials Project) and Cu Kα (λ = 1.5418 Å).
Lines closer than 0.1° are merged.

Principal peaks in the range 2θ = 5–70°, in order of rising 2θ:
| 2θ/deg | d (Å) | I/Imax |
| --- | --- | --- |
| 10.2 | 8.667 | 47 |
| 14.5 | 6.128 | 43 |
| 17.0 | 5.208 | 42 |
| 22.4 | 3.969 | 74 |
| 26.8 | 3.331 | 42 |
| 30.5 | 2.927 | 100 |
| 31.1 | 2.877 | 61 |
| 32.7 | 2.741 | 38 |
| 33.9 | 2.641 | 81 |
| 40.0 | 2.255 | 37 |
| 45.7 | 1.984 | 49 |
| 47.8 | 1.902 | 48 |

Cell and atoms:
```
Na5Pr4Ge4O16F
1.0
-6.128 6.128 2.877
6.128 -6.128 2.877
6.128 6.128 -2.877
Na Pr Ge O F
5 4 4 16 1
direct
0.000 0.000 0.000
0.086 0.394 0.517
0.431 0.914 0.308
0.606 0.123 0.692
0.877 0.569 0.483
0.294 0.592 0.933
0.408 0.341 0.702
0.639 0.706 0.298
0.659 0.361 0.067
0.113 0.763 0.855
0.237 0.092 0.350
0.742 0.887 0.650
0.908 0.258 0.145
0.052 0.183 0.776
0.077 0.579 0.716
0.130 0.166 0.443
0.237 0.483 0.177
0.306 0.060 0.823
0.313 0.870 0.035
0.407 0.276 0.224
0.421 0.137 0.498
0.517 0.694 0.754
0.639 0.923 0.502
0.722 0.687 0.557
0.724 0.948 0.131
0.817 0.593 0.869
0.834 0.278 0.965
0.863 0.361 0.284
0.940 0.763 0.246
0.500 0.500 0.000
```


[9]
Diffraction record for EuIn3. The XRD peak list is computed, not measured: it uses a DFT-relaxed cell (PBE, the Materials Project) and Cu Kα (λ = 1.5418 Å).
Lines closer than 0.1° are merged.

Principal peaks in the range 2θ = 5–70°, in order of rising 2θ:
| 2θ/deg | d (Å) | I/Imax |
| --- | --- | --- |
| 18.8 | 4.712 | 1 |
| 26.8 | 3.332 | 1 |
| 32.9 | 2.720 | 100 |
| 38.2 | 2.356 | 50 |
| 42.9 | 2.107 | 1 |
| 47.3 | 1.923 | 1 |
| 55.1 | 1.666 | 34 |
| 65.7 | 1.421 | 39 |
| 69.1 | 1.360 | 11 |

Cell and atoms:
```
EuIn3
1.0
4.712 0.000 0.000
0.000 4.712 0.000
0.000 0.000 4.712
Eu In
1 3
direct
0.000 0.000 0.000
0.000 0.500 0.500
0.500 0.000 0.500
0.500 0.500 0.000
```